Starting from DFT lattice parameters and positions (PBE+U), the powder XRD pattern of Rb5Fe2O6 was simulated for Cu Ka.

Largest 8 diffraction maxima, sorted by position, 10° ≤ 2θ ≤ 90°:
- (0 0 4), d = 3.632 Å, 24.5 deg, rel. 29
- (0 2 2), d = 3.247 Å, 27.5 deg, rel. 95
- (3 1 -2), d = 3.147 Å, 28.4 deg, rel. 22
- (3 1 1), d = 3.066 Å, 29.1 deg, rel. 60
- (3 1 -3), d = 2.907 Å, 30.8 deg, rel. 100
- (2 0 4), d = 2.805 Å, 31.9 deg, rel. 43
- (3 3 -1), d = 2.021 Å, 44.8 deg, rel. 31
- (5 1 1), d = 2.015 Å, 45.0 deg, rel. 21

Structural model:
Cell: 11.0383 7.2567 14.7493 Å, 90.00 99.92 90.00°
Space group C2/c (No. 15)
Inequivalent atoms, fractional coordinates:
1 Rb 0.0000 0.1140 0.2500 x4
2 Rb 0.0550 0.2309 0.9962 x8
3 Rb 0.1534 0.4250 0.7125 x8
4 Fe 0.2255 0.3694 0.4264 x8
5 O 0.0734 0.4535 0.3764 x8
6 O 0.1597 0.0513 0.6413 x8
7 O 0.2172 0.1007 0.4425 x8